[1]
Diffraction record for CeMg. The powder X-ray diffraction pattern is computed, not measured: it uses DFT lattice parameters and positions (PBE) and Cu Ka.
Neutral-atom scattering factors, no anomalous dispersion.

The 12 most intense peaks (2θ from 10° to 90°), in order of falling intensity:
35.51 deg, rel. 100
17.18 deg, rel. 99
33.97 deg, rel. 69
33.62 deg, rel. 46
24.00 deg, rel. 36
38.00 deg, rel. 28
40.62 deg, rel. 26
31.15 deg, rel. 26
64.48 deg, rel. 23
53.26 deg, rel. 21
49.00 deg, rel. 20
61.36 deg, rel. 20

Lattice parameters (Å, degrees): 5.331 5.754 5.754 116.26 90.00 90.00
Sites, in units of the cell vectors:
Ce (0.000, 0.000, 0.000)
Ce (0.500, 0.690, 0.966)
Ce (0.500, 0.966, 0.690)
Mg (0.000, 0.329, 0.649)
Mg (0.000, 0.649, 0.329)
Mg (0.500, 0.331, 0.331)


[2]
Diffraction record for Ce2Mg. The powder X-ray diffraction pattern is computed, not measured: it uses DFT lattice parameters and positions (PBE) and Cu Ka.
Neutral-atom scattering factors, no anomalous dispersion.

The 12 most intense peaks (2θ from 10° to 90°), in order of falling intensity:
34.49 deg, rel. 100
16.50 deg, rel. 81
37.10 deg, rel. 63
34.21 deg, rel. 44
29.83 deg, rel. 37
40.86 deg, rel. 31
48.74 deg, rel. 24
46.02 deg, rel. 23
38.21 deg, rel. 20
67.91 deg, rel. 19
61.44 deg, rel. 19
24.95 deg, rel. 18

Lattice parameters (Å, degrees): 6.027 6.027 5.242 90.00 90.00 53.92
Sites, in units of the cell vectors:
Ce (0.036, 0.337, 0.250)
Ce (0.337, 0.036, 0.750)
Ce (0.663, 0.964, 0.250)
Ce (0.964, 0.663, 0.750)
Mg (0.339, 0.661, 0.250)
Mg (0.661, 0.339, 0.750)